[1]
Simulated powder X-ray diffraction pattern
Compound: Cs2Se
Radiation: λ = 1.5418 Å (Cu Kα)
Structure: a cell relaxed with PBE
Intensities are scaled so that the largest is 100.

The 10 most intense peaks (2θ = 5–70°), low angle first:
18.5 deg, intensity 27; 22.0 deg, intensity 73; 23.9 deg, intensity 63; 27.7 deg, intensity 61; 30.6 deg, intensity 100; 32.9 deg, intensity 19; 33.2 deg, intensity 40; 34.7 deg, intensity 22; 37.5 deg, intensity 20; 50.9 deg, intensity 20

Cell and atoms:
```
Cs2Se
1.0
0.000 10.635 2.794
5.215 0.000 2.794
5.215 10.635 0.000
Cs Se
4 2
Cartesian
6.018 6.663 2.794
7.018 11.980 4.191
4.411 14.607 2.794
3.411 9.289 4.191
5.215 10.635 1.492
7.822 15.952 2.889
```

***

[2]
Simulated powder X-ray diffraction pattern
Compound: YScN2
Radiation: λ = 1.5418 Å (Cu Kα)
Structure: a cell relaxed with PBE
Intensities are scaled so that the largest is 100.

The 10 most intense peaks (2θ = 5–70°), low angle first:
16.3 deg, intensity 19; 31.4 deg, intensity 14; 32.8 deg, intensity 91; 38.1 deg, intensity 100; 41.7 deg, intensity 8; 55.0 deg, intensity 62; 65.5 deg, intensity 28; 65.6 deg, intensity 10; 68.8 deg, intensity 15; 68.9 deg, intensity 5

Cell and atoms:
```
YScN2
1.0
1.672 0.965 5.448
-1.672 0.965 5.448
0.000 -1.931 5.448
Y Sc N
1 1 2
Cartesian
0.000 0.000 0.000
0.000 0.000 8.172
0.000 0.000 4.004
0.000 0.000 12.340
```

***

[3]
Simulated powder X-ray diffraction pattern
Compound: CeNi2As2
Radiation: λ = 1.5418 Å (Cu Kα)
Structure: a cell relaxed with PBE
Intensities are scaled so that the largest is 100.

The 10 most intense peaks (2θ = 5–70°), low angle first:
30.5 deg, intensity 20; 36.4 deg, intensity 100; 36.6 deg, intensity 73; 43.7 deg, intensity 68; 50.7 deg, intensity 10; 55.0 deg, intensity 21; 58.3 deg, intensity 37; 60.3 deg, intensity 6; 63.5 deg, intensity 22; 69.6 deg, intensity 15

Cell and atoms:
```
CeNi2As2
1.0
4.143 0.000 0.000
0.000 4.143 0.000
0.000 0.000 9.129
Ce Ni As
2 4 4
Cartesian
1.036 1.036 2.259
3.107 3.107 6.871
1.036 1.036 5.635
1.036 3.107 0.000
3.107 1.036 0.000
3.107 3.107 3.495
1.036 1.036 7.945
1.036 3.107 4.565
3.107 1.036 4.565
3.107 3.107 1.184
```

***

[4]
Simulated powder X-ray diffraction pattern
Compound: SmSi2Os2
Radiation: λ = 1.5418 Å (Cu Kα)
Structure: a cell relaxed with PBE
Intensities are scaled so that the largest is 100.

The 10 most intense peaks (2θ = 5–70°), low angle first:
18.0 deg, intensity 25; 23.1 deg, intensity 13; 34.7 deg, intensity 15; 35.4 deg, intensity 100; 36.5 deg, intensity 18; 43.2 deg, intensity 36; 48.1 deg, intensity 12; 57.8 deg, intensity 20; 62.7 deg, intensity 12; 65.0 deg, intensity 18

Cell and atoms:
```
SmSi2Os2
1.0
-2.096 2.096 4.917
2.096 -2.096 4.917
2.096 2.096 -4.917
Sm Si Os
1 2 2
Cartesian
0.000 0.000 0.000
0.000 0.000 3.638
0.000 0.000 6.196
2.096 0.000 2.459
0.000 2.096 2.459
```

***

[5]
Simulated powder X-ray diffraction pattern
Compound: K2ZrTe3
Radiation: λ = 1.5418 Å (Cu Kα)
Structure: a cell relaxed with PBE
Intensities are scaled so that the largest is 100.

The 10 most intense peaks (2θ = 5–70°), low angle first:
11.6 deg, intensity 100; 12.3 deg, intensity 34; 25.6 deg, intensity 27; 28.6 deg, intensity 37; 29.6 deg, intensity 50; 31.8 deg, intensity 49; 33.3 deg, intensity 22; 34.8 deg, intensity 22; 36.6 deg, intensity 21; 42.8 deg, intensity 21

Cell and atoms:
```
K2ZrTe3
1.0
9.316 0.000 0.000
0.000 14.366 0.000
-1.933 0.000 6.739
K Zr Te
8 4 12
Cartesian
0.836 1.971 0.391
-0.131 5.212 3.760
1.925 0.522 4.470
2.892 6.661 1.100
4.491 7.705 5.638
5.457 13.844 2.269
7.513 9.154 2.978
6.547 12.395 6.348
2.128 10.765 2.084
1.162 10.784 5.453
6.221 3.582 1.285
5.254 3.601 4.655
-1.202 9.349 6.731
-0.235 12.200 3.362
1.443 8.401 3.860
2.410 13.148 0.491
3.687 2.700 2.256
2.721 4.483 5.625
4.662 9.883 1.113
3.695 11.666 4.483
4.973 1.218 6.248
5.939 5.965 2.879
7.618 2.166 3.376
8.585 5.017 0.007
```